# 1
Simulated powder diffractogram
Compound: RbAg2Cl3
Radiation: Cu Kα (weighted mean of Kα1 and Kα2)
Structure: a crystal structure in Alexandria, relaxed with PBE

Main lines, by intensity (2θ = 10–90°):
25.70 deg, I = 100; 25.37 deg, I = 65; 22.30 deg, I = 49; 46.59 deg, I = 45; 38.40 deg, I = 43; 21.68 deg, I = 39; 44.91 deg, I = 35; 25.16 deg, I = 31; 33.61 deg, I = 26; 47.53 deg, I = 20

Structural model:
```
data_RbAg2Cl3
_chemical_formula_sum 'Rb4 Ag8 Cl12'
_cell_length_a 13.6872
_cell_length_b 8.1965
_cell_length_c 7.0222
_cell_angle_alpha 90.00
_cell_angle_beta 90.00
_cell_angle_gamma 90.00
_symmetry_space_group_name_H-M 'C m c 21'
_symmetry_Int_Tables_number 36
loop_
_symmetry_equiv_pos_as_xyz
'x,y,z'
'-x,-y,z+1/2'
'-x,y,z'
'x,-y,z+1/2'
'x+1/2,y+1/2,z'
'-x+1/2,-y+1/2,z+1/2'
'-x+1/2,y+1/2,z'
'x+1/2,-y+1/2,z+1/2'
loop_
_atom_site_label
_atom_site_type_symbol
_atom_site_fract_x
_atom_site_fract_y
_atom_site_fract_z
Rb1 Rb 0.0000 0.2007 0.0000
Ag1 Ag 0.1735 0.3254 0.4821
Cl1 Cl 0.0000 0.1982 0.5193
Cl2 Cl 0.2012 0.3823 0.1184
```


# 2
Simulated powder diffractogram
Compound: AcNiBiH
Radiation: Cu Kα (weighted mean of Kα1 and Kα2)
Structure: a crystal structure in Alexandria, relaxed with PBE

Main lines, by intensity (2θ = 10–90°):
29.64 deg, I = 100; 39.51 deg, I = 40; 50.16 deg, I = 24; 56.45 deg, I = 24; 65.66 deg, I = 22; 22.51 deg, I = 14; 38.63 deg, I = 12; 64.43 deg, I = 12; 45.17 deg, I = 10; 84.51 deg, I = 8

Structural model:
```
data_AcNiBiH
_chemical_formula_sum 'Ac1 Ni1 Bi1 H1'
_cell_length_a 4.5613
_cell_length_b 4.5613
_cell_length_c 4.6618
_cell_angle_alpha 90.00
_cell_angle_beta 90.00
_cell_angle_gamma 120.00
_symmetry_space_group_name_H-M 'P 3 m 1'
_symmetry_Int_Tables_number 156
loop_
_symmetry_equiv_pos_as_xyz
'x,y,z'
'-y,x-y,z'
'-x+y,-x,z'
'-y,-x,z'
'-x+y,y,z'
'x,x-y,z'
loop_
_atom_site_label
_atom_site_type_symbol
_atom_site_fract_x
_atom_site_fract_y
_atom_site_fract_z
Ac1 Ac 0.0000 0.0000 0.0000
Ni1 Ni 0.6667 0.3333 0.6014
Bi1 Bi 0.3333 0.6667 0.4917
H1 H 0.6667 0.3333 0.9396
```


Q: What is the formula in the first record?
A: RbAg2Cl3


Q: What is the formula in the second record?
A: AcNiBiH